No. 1
Starting from a crystal structure in Alexandria, relaxed with PBE, the XRD peak list of Mg2Cd5Ga2 was simulated for λ = 1.5418 Å (Cu Kα).

Largest 6 diffraction maxima, low angle first, 10 to 80 degrees two-theta:
d/Å  I/Imax
5.252  38
3.710  25
2.691  26
2.610  53
2.345  100
2.233  39

Structure:
abc: 9.0028 9.0028 9.0028
angles: 83.13 108.62 143.16
Positions (direct):
Mg 0.0000 0.0000 0.0000
Mg 0.0000 0.5000 0.5000
Mg 0.8181 0.6115 0.7066
Mg 0.9049 0.1115 0.2934
Cd 0.1497 0.5938 0.8427
Cd 0.1497 0.8070 0.0559
Cd 0.2143 0.1136 0.6007
Cd 0.4592 0.2447 0.3456
Cd 0.4592 0.6135 0.7145
Cd 0.5128 0.6136 0.3993
Cd 0.7511 0.0938 0.9441
Cd 0.7511 0.3070 0.1573
Cd 0.8991 0.1135 0.6544
Cd 0.8991 0.7447 0.2855
Ga 0.4271 0.5637 0.0583
Ga 0.4271 0.8688 0.3634
Ga 0.5055 0.0637 0.6366
Ga 0.5055 0.3688 0.9417



No. 2
Starting from a crystal structure in Alexandria, relaxed with PBE, the XRD peak list of MgCdGa14 was simulated for λ = 1.5418 Å (Cu Kα).

Largest 6 diffraction maxima, low angle first, 10 to 80 degrees two-theta:
d/Å  I/Imax
2.446  100
2.293  21
2.056  15
2.032  14
1.531  11
1.351  14

Structure:
abc: 6.1276 6.1276 8.2257
angles: 90.00 90.00 96.90
Positions (direct):
Mg 0.0000 0.0000 0.0000
Cd 0.5000 0.5000 0.0000
Ga 0.0000 0.0000 0.5000
Ga 0.0000 0.5000 0.0000
Ga 0.0000 0.5000 0.5000
Ga 0.2444 0.7556 0.2538
Ga 0.2444 0.7556 0.7462
Ga 0.2515 0.2515 0.2609
Ga 0.2515 0.2515 0.7391
Ga 0.5000 0.0000 0.0000
Ga 0.5000 0.0000 0.5000
Ga 0.5000 0.5000 0.5000
Ga 0.7485 0.7485 0.2609
Ga 0.7485 0.7485 0.7391
Ga 0.7556 0.2444 0.2538
Ga 0.7556 0.2444 0.7462



No. 3
Starting from a crystal structure in Alexandria, relaxed with PBE, the XRD peak list of Mg3Cd6Ga2 was simulated for λ = 1.5418 Å (Cu Kα).

Largest 6 diffraction maxima, low angle first, 10 to 80 degrees two-theta:
d/Å  I/Imax
2.622  100
2.584  97
2.544  92
2.435  81
2.213  61
2.203  60

Structure:
abc: 5.5878 6.8564 7.0503
angles: 109.51 106.65 97.67
Positions (direct):
Mg 0.0000 0.0000 0.0000
Mg 0.0907 0.8063 0.3692
Mg 0.9093 0.1937 0.6308
Cd 0.2687 0.4509 0.0896
Cd 0.3588 0.2719 0.4561
Cd 0.4518 0.0911 0.8211
Cd 0.5482 0.9089 0.1789
Cd 0.6412 0.7281 0.5439
Cd 0.7313 0.5491 0.9104
Ga 0.1726 0.6374 0.7204
Ga 0.8274 0.3626 0.2796



No. 4
Starting from a crystal structure in Alexandria, relaxed with PBE, the XRD peak list of Mg2Cd3Ga2 was simulated for λ = 1.5418 Å (Cu Kα).

Largest 6 diffraction maxima, low angle first, 10 to 80 degrees two-theta:
d/Å  I/Imax
2.600  100
2.426  79
2.359  46
2.187  31
1.604  27
1.357  24

Structure:
abc: 10.4357 10.4357 3.2749
angles: 90.00 90.00 155.80
Positions (direct):
Mg 0.1590 0.8410 0.0000
Mg 0.8410 0.1590 0.0000
Cd 0.0000 0.0000 0.0000
Cd 0.4239 0.5761 0.5000
Cd 0.5761 0.4239 0.5000
Ga 0.2853 0.7147 0.5000
Ga 0.7147 0.2853 0.5000